Diffraction record for Dy2Co7B3. The X-ray powder pattern is calculated, not measured: it uses a PBE-relaxed structure and CuKα.

The 12 most intense peaks (2θ = 5–70°), sorted by position:
2θ/deg  d/Å  Rel. int.
20.42  4.349  29
34.91  2.570  100
35.76  2.511  26
41.04  2.199  9
41.53  2.174  91
41.79  2.162  6
46.02  1.972  80
55.94  1.644  5
57.88  1.593  8
62.04  1.496  6
63.71  1.461  35
69.93  1.345  9

a = 5.0214 Å, b = 5.0214 Å, c = 12.7462 Å
α = 90.00°, β = 90.00°, γ = 120.00°
Space group P6/mmm (No. 191)
One atom of each set of equivalent atoms:
Dy  0.0000  0.0000  0.0000 (multiplicity 1)
Dy  0.0000  0.0000  0.2392 (multiplicity 2)
Dy  0.0000  0.0000  0.5000 (multiplicity 1)
Co  0.0000  0.5000  0.1156 (multiplicity 6)
Co  0.0000  0.5000  0.3452 (multiplicity 6)
Co  0.3333  0.6667  0.5000 (multiplicity 2)
B  0.3333  0.6667  0.0000 (multiplicity 2)
B  0.3333  0.6667  0.2313 (multiplicity 4)

Diffraction record for Sc4Tl3In2Ni2. The X-ray powder pattern is calculated, not measured: it uses a PBE-relaxed structure and CuKα.

The 12 most intense peaks (2θ = 5–70°), sorted by position:
2θ/deg  d/Å  Rel. int.
9.62  9.195  38
23.54  3.779  39
26.58  3.354  72
30.48  2.933  21
32.48  2.756  40
35.76  2.511  100
35.84  2.506  26
36.11  2.487  33
39.97  2.256  46
42.46  2.129  29
45.44  1.996  31
67.12  1.394  21

a = 7.5696 Å, b = 3.3537 Å, c = 9.2303 Å
α = 90.00°, β = 95.03°, γ = 90.00°
Space group P2/m (No. 10)
One atom of each set of equivalent atoms:
Sc  0.1910  0.0000  0.3365 (multiplicity 2)
Sc  0.2015  0.0000  0.9368 (multiplicity 2)
Tl  0.1491  0.5000  0.6440 (multiplicity 2)
Tl  0.5000  0.5000  0.5000 (multiplicity 1)
In  0.4545  0.5000  0.1607 (multiplicity 2)
Ni  0.0789  0.5000  0.1284 (multiplicity 2)

Diffraction record for Tm2Ga10Os3. The X-ray powder pattern is calculated, not measured: it uses a PBE-relaxed structure and CuKα.

The 12 most intense peaks (2θ = 5–70°), sorted by position:
2θ/deg  d/Å  Rel. int.
19.87  4.468  22
22.40  3.970  55
34.69  2.586  20
36.19  2.482  100
40.37  2.234  43
41.97  2.153  91
42.97  2.105  94
43.24  2.092  28
45.69  1.986  24
46.65  1.947  19
60.85  1.522  19
68.31  1.373  22

a = 8.8764 Å, b = 8.8764 Å, c = 6.3623 Å
α = 90.00°, β = 90.00°, γ = 90.00°
Space group P4/mbm (No. 127)
One atom of each set of equivalent atoms:
Tm  0.1831  0.3169  0.0000 (multiplicity 4)
Ga  0.0000  0.5000  0.2822 (multiplicity 4)
Ga  0.0613  0.7931  0.2924 (multiplicity 16)
Os  0.0000  0.0000  0.0000 (multiplicity 2)
Os  0.1784  0.3216  0.5000 (multiplicity 4)

Diffraction record for BeCuHgGe. The X-ray powder pattern is calculated, not measured: it uses a PBE-relaxed structure and CuKα.

The 8 most intense peaks (2θ = 5–70°), sorted by position:
2θ/deg  d/Å  Rel. int.
24.44  3.642  38
28.30  3.154  41
40.45  2.230  100
47.82  1.902  20
50.09  1.821  12
58.53  1.577  17
64.38  1.447  8
66.26  1.411  16

a = 6.3080 Å, b = 6.3080 Å, c = 6.3080 Å
α = 90.00°, β = 90.00°, γ = 90.00°
Space group F-43m (No. 216)
One atom of each set of equivalent atoms:
Be  0.0000  0.0000  0.0000 (multiplicity 4)
Cu  0.0000  0.0000  0.5000 (multiplicity 4)
Hg  0.2500  0.2500  0.7500 (multiplicity 4)
Ge  0.2500  0.2500  0.2500 (multiplicity 4)

Diffraction record for Ta5NbIr2. The X-ray powder pattern is calculated, not measured: it uses a PBE-relaxed structure and CuKα.

The 12 most intense peaks (2θ = 5–70°), sorted by position:
2θ/deg  d/Å  Rel. int.
17.16  5.167  3
24.36  3.655  3
34.67  2.588  25
34.83  2.576  19
38.94  2.313  79
39.06  2.306  34
42.86  2.110  100
62.24  1.492  8
65.02  1.434  15
65.20  1.431  10
67.81  1.382  33
67.97  1.379  19

a = 5.1750 Å, b = 5.1750 Å, c = 5.1523 Å
α = 90.00°, β = 90.00°, γ = 90.00°
Space group P-4m2 (No. 115)
One atom of each set of equivalent atoms:
Ta  0.0000  0.0000  0.0000 (multiplicity 1)
Ta  0.2504  0.5000  0.7503 (multiplicity 4)
Nb  0.0000  0.0000  0.5000 (multiplicity 1)
Ir  0.0000  0.5000  0.2490 (multiplicity 2)

Diffraction record for LiZnReOs. The X-ray powder pattern is calculated, not measured: it uses a PBE-relaxed structure and CuKα.

The 7 most intense peaks (2θ = 5–70°), sorted by position:
2θ/deg  d/Å  Rel. int.
25.74  3.461  57
29.81  2.998  3
42.66  2.120  100
50.49  1.808  28
52.90  1.731  1
61.91  1.499  17
68.18  1.375  12

a = 5.9951 Å, b = 5.9951 Å, c = 5.9951 Å
α = 90.00°, β = 90.00°, γ = 90.00°
Space group F-43m (No. 216)
One atom of each set of equivalent atoms:
Li  0.0000  0.0000  0.0000 (multiplicity 4)
Zn  0.2500  0.2500  0.7500 (multiplicity 4)
Re  0.2500  0.2500  0.2500 (multiplicity 4)
Os  0.0000  0.0000  0.5000 (multiplicity 4)

Q: Which formula does entry 2 have?
A: Sc4Tl3In2Ni2